# 1
LaMnO3: computed PXRD pattern (Cu Kα, 1.54184 Å), based on a DFT-relaxed cell (PBE+U, the Materials Project).

Top 8 peaks for 10 to 90 degrees two-theta, low angle first:
22.56°, I 15; 32.12°, I 100; 39.61°, I 20; 45.98°, I 11; 46.11°, I 22; 57.26°, I 38; 67.19°, I 19; 76.50°, I 11

Crystal structure
```
data_LaMnO3
_cell_length_a 5.5683
_cell_length_b 5.5683
_cell_length_c 3.9475
_cell_angle_alpha 90.00
_cell_angle_beta 90.00
_cell_angle_gamma 90.00
_symmetry_space_group_name_H-M 'P 4/m m m'
_symmetry_Int_Tables_number 123
_symmetry_space_group_name_Hall '-P 4 2'
loop_
_atom_site_label
_atom_site_type_symbol
_atom_site_fract_x
_atom_site_fract_y
_atom_site_fract_z
La1 La 0.0000 0.5000 0.0000
Mn1 Mn 0.0000 0.0000 0.5000
Mn2 Mn 0.5000 0.5000 0.5000
O1 O 0.0000 0.0000 0.0000
O2 O 0.2411 0.2411 0.5000
O3 O 0.5000 0.5000 0.0000
```

***

# 2
LaMnO3: computed PXRD pattern (Cu Kα, 1.54184 Å), based on a DFT-relaxed cell (PBE+U, the Materials Project).

Top 8 peaks for 10 to 90 degrees two-theta, low angle first:
31.76°, I 100; 31.94°, I 99; 32.08°, I 57; 32.28°, I 55; 45.18°, I 36; 45.87°, I 30; 46.42°, I 29; 57.16°, I 44

Crystal structure
```
data_LaMnO3
_cell_length_a 11.0946
_cell_length_b 8.0282
_cell_length_c 7.8251
_cell_angle_alpha 90.00
_cell_angle_beta 134.51
_cell_angle_gamma 90.00
_symmetry_space_group_name_H-M 'C 1 2/m 1'
_symmetry_Int_Tables_number 12
loop_
_symmetry_equiv_pos_as_xyz
'x,y,z'
'-x,-y,-z'
'-x,y,-z'
'x,-y,z'
'x+1/2,y+1/2,z'
'-x+1/2,-y+1/2,-z'
'-x+1/2,y+1/2,-z'
'x+1/2,-y+1/2,z'
loop_
_atom_site_label
_atom_site_type_symbol
_atom_site_fract_x
_atom_site_fract_y
_atom_site_fract_z
La1 La 0.2500 0.2500 0.0000
La2 La 0.2500 0.2500 0.5000
Mn1 Mn 0.0000 0.0000 0.0000
Mn2 Mn 0.0000 0.0000 0.5000
Mn3 Mn 0.0000 0.5000 0.0000
Mn4 Mn 0.0000 0.5000 0.5000
O1 O 0.0000 0.2384 0.0000
O2 O 0.0000 0.2606 0.5000
O3 O 0.0575 0.5000 0.3140
O4 O 0.0622 0.0000 0.2990
O5 O 0.2374 0.0000 0.1729
O6 O 0.2429 0.5000 0.1919
```

***

# 3
LaMnO3: computed PXRD pattern (Cu Kα, 1.54184 Å), based on a DFT-relaxed cell (PBE+U, the Materials Project).

Top 8 peaks for 10 to 90 degrees two-theta, low angle first:
22.36°, I 33; 31.31°, I 52; 31.77°, I 94; 32.10°, I 100; 32.33°, I 50; 45.62°, I 58; 45.95°, I 30; 57.71°, I 28

Crystal structure
```
data_LaMnO3
_cell_length_a 9.5864
_cell_length_b 5.7134
_cell_length_c 5.5391
_cell_angle_alpha 90.00
_cell_angle_beta 124.50
_cell_angle_gamma 90.00
_symmetry_space_group_name_H-M 'C 1 2/c 1'
_symmetry_Int_Tables_number 15
loop_
_symmetry_equiv_pos_as_xyz
'x,y,z'
'-x,-y,-z'
'-x,y,-z+1/2'
'x,-y,z+1/2'
'x+1/2,y+1/2,z'
'-x+1/2,-y+1/2,-z'
'-x+1/2,y+1/2,-z+1/2'
'x+1/2,-y+1/2,z+1/2'
loop_
_atom_site_label
_atom_site_type_symbol
_atom_site_fract_x
_atom_site_fract_y
_atom_site_fract_z
La1 La 0.0000 0.2434 0.2500
Mn1 Mn 0.2500 0.2500 0.0000
O1 O 0.0000 0.1811 0.7500
O2 O 0.2192 0.4476 0.6799
```

***

# 4
LaMnO3: computed PXRD pattern (Cu Kα, 1.54184 Å), based on a DFT-relaxed cell (PBE+U, the Materials Project).

Top 8 peaks for 10 to 90 degrees two-theta, low angle first:
24.80°, I 16; 30.45°, I 23; 31.92°, I 100; 32.05°, I 25; 44.79°, I 23; 46.73°, I 21; 50.81°, I 17; 57.04°, I 23

Crystal structure
```
data_LaMnO3
_cell_length_a 5.5860
_cell_length_b 5.8714
_cell_length_c 9.5676
_cell_angle_alpha 90.00
_cell_angle_beta 125.62
_cell_angle_gamma 90.00
_symmetry_space_group_name_H-M 'P 1 21/c 1'
_symmetry_Int_Tables_number 14
loop_
_symmetry_equiv_pos_as_xyz
'x,y,z'
'-x,-y,-z'
'-x,y+1/2,-z+1/2'
'x,-y+1/2,z+1/2'
loop_
_atom_site_label
_atom_site_type_symbol
_atom_site_fract_x
_atom_site_fract_y
_atom_site_fract_z
La1 La 0.2386 0.0576 0.2498
Mn1 Mn 0.0000 0.0000 0.5000
Mn2 Mn 0.5000 0.0000 0.0000
O1 O 0.1749 0.1900 0.9559
O2 O 0.2354 0.6889 0.9557
O3 O 0.3381 0.0210 0.7513
```

***

# 5
LaMnO3: computed PXRD pattern (Cu Kα, 1.54184 Å), based on a DFT-relaxed cell (PBE+U, the Materials Project).

Top 8 peaks for 10 to 90 degrees two-theta, low angle first:
22.52°, I 15; 32.07°, I 100; 39.54°, I 20; 45.98°, I 33; 51.79°, I 8; 57.16°, I 38; 67.06°, I 19; 76.28°, I 16

Crystal structure
```
data_LaMnO3
_cell_length_a 7.8947
_cell_length_b 7.8947
_cell_length_c 7.8947
_cell_angle_alpha 90.00
_cell_angle_beta 90.00
_cell_angle_gamma 90.00
_symmetry_space_group_name_H-M 'F m -3 m'
_symmetry_Int_Tables_number 225
_symmetry_space_group_name_Hall '-F 4 2 3'
loop_
_atom_site_label
_atom_site_type_symbol
_atom_site_fract_x
_atom_site_fract_y
_atom_site_fract_z
La1 La 0.2500 0.2500 0.2500
Mn1 Mn 0.0000 0.0000 0.0000
Mn2 Mn 0.0000 0.0000 0.5000
O1 O 0.0000 0.0000 0.2391
```

***

# 6
La5Mn5O18: computed PXRD pattern (Cu Kα, 1.54184 Å), based on a DFT-relaxed cell (PBE+U, the Materials Project).

Top 8 peaks for 10 to 90 degrees two-theta, low angle first:
32.54°, I 99; 32.66°, I 50; 32.97°, I 100; 33.12°, I 50; 40.28°, I 48; 47.21°, I 69; 58.22°, I 42; 58.51°, I 40

Crystal structure
```
data_La5Mn5O18
_cell_length_a 5.4097
_cell_length_b 5.4837
_cell_length_c 12.2230
_cell_angle_alpha 102.95
_cell_angle_beta 101.79
_cell_angle_gamma 90.02
_symmetry_space_group_name_H-M 'P 1'
_symmetry_Int_Tables_number 1
loop_
_symmetry_equiv_pos_as_xyz
'x,y,z'
loop_
_atom_site_label
_atom_site_type_symbol
_atom_site_fract_x
_atom_site_fract_y
_atom_site_fract_z
La1 La 0.0000 0.0000 0.0000
La2 La 0.1561 0.1548 0.3180
La3 La 0.4959 0.4969 0.9947
La4 La 0.6548 0.6520 0.3114
La5 La 0.8269 0.8230 0.6559
Mn1 Mn 0.2461 0.7498 0.4936
Mn2 Mn 0.4080 0.9013 0.8166
Mn3 Mn 0.5769 0.0755 0.1563
Mn4 Mn 0.7432 0.2486 0.4952
Mn5 Mn 0.9097 0.4006 0.8189
O1 O 0.0132 0.0117 0.5032
O2 O 0.1161 0.1085 0.8124
O3 O 0.1687 0.7116 0.3355
O4 O 0.1885 0.6573 0.8505
O5 O 0.3070 0.8478 0.1447
O6 O 0.3288 0.7699 0.6587
O7 O 0.3599 0.3415 0.1693
O8 O 0.4666 0.4610 0.4618
O9 O 0.4944 0.0434 0.9892
O10 O 0.5390 0.9572 0.5001
O11 O 0.6344 0.1636 0.8086
O12 O 0.6616 0.1085 0.3233
O13 O 0.6978 0.6961 0.8442
O14 O 0.7863 0.8012 0.1389
O15 O 0.8231 0.3804 0.6533
O16 O 0.8513 0.2983 0.1717
O17 O 0.9534 0.5059 0.4674
O18 O 0.9817 0.4421 0.9767
```